(1)
The following is a computed powder diffraction line list of BeWCl. It was derived from a GGA-PBE-relaxed structure, using Cu Ka.
Intensities are scaled so that the largest is 100.

Structural model:
Cell: 2.8603 2.8603 13.2069 Å, 90.00 90.00 90.00°
Fractional positions:
Be 0.0000 0.0000 0.0000
Be 0.5000 0.5000 0.5000
W 0.0000 0.0000 0.6061
W 0.5000 0.5000 0.1061
Cl 0.0000 0.0000 0.2371
Cl 0.5000 0.5000 0.7371

Peak list (8 most intense, 5 to 70 degrees two-theta, sorted by position)
two_theta  d (Å)  I/Imax  (hkl)
13.41  6.603  100  0 0 2
27.01  3.302  11  0 0 4
32.02  2.796  36  1 0 1
37.50  2.399  45  1 0 3
44.81  2.023  15  1 1 0
46.82  1.941  23  1 0 5
46.99  1.934  18  1 1 2
62.35  1.489  8  1 1 6

---

(2)
The following is a computed powder diffraction line list of BeZn2Cl. It was derived from a GGA-PBE-relaxed structure, using Cu Ka.
Intensities are scaled so that the largest is 100.

Structural model:
Cell: 3.0861 3.0161 7.8499 Å, 90.00 100.56 90.00°
Fractional positions:
Be 0.0000 0.0000 0.0000
Zn 0.1844 0.0000 0.3952
Zn 0.5900 0.5000 0.1938
Cl 0.9153 0.5000 0.8210

Peak list (8 most intense, 5 to 70 degrees two-theta, sorted by position)
two_theta  d (Å)  I/Imax  (hkl)
11.47  7.717  100  0 0 1
31.86  2.809  26  0 1 1
33.67  2.662  30  1 0 1
34.08  2.631  31  1 0 -2
37.86  2.376  36  0 1 2
42.25  2.139  27  1 1 0
42.37  2.133  29  1 1 -1
46.39  1.957  28  0 1 3

---

(3)
The following is a computed powder diffraction line list of Be3Co4. It was derived from a GGA-PBE-relaxed structure, using Cu Ka.
Intensities are scaled so that the largest is 100.

Structural model:
Cell: 4.1881 4.1881 4.3438 Å, 90.00 90.00 120.00°
Fractional positions:
Be 0.0000 0.5000 0.0000
Be 0.5000 0.0000 0.0000
Be 0.5000 0.5000 0.0000
Co 0.0000 0.0000 0.2516
Co 0.0000 0.0000 0.7484
Co 0.3333 0.6667 0.5000
Co 0.6667 0.3333 0.5000

Peak list (8 most intense, 5 to 70 degrees two-theta, sorted by position)
two_theta  d (Å)  I/Imax  (hkl)
20.45  4.344  45  0 0 1
24.54  3.627  25  1 0 0
32.15  2.784  24  1 0 1
43.20  2.094  100  1 1 0
48.25  1.886  42  1 1 1
48.88  1.863  85  1 0 2
54.86  1.674  10  2 0 1
67.26  1.392  23  2 0 2